Entry 1:
MnMo2Se: theoretical powder X-ray diffraction pattern (Cu Kα (λ = 1.5418 Å)), based on a DFT-relaxed cell (GGA-PBE, Alexandria).
No peak broadening, texture or thermal motion is included.

Structural model:
a b c (Å): 3.253 3.253 5.920
angles (deg): 90.00 90.00 90.00
Space group P4mm (No. 99)
One atom of each set of equivalent atoms:
Mn1 0.000 0.000 0.000 x1
Mo1 0.000 0.000 0.479 x1
Mo2 0.500 0.500 0.241 x1
Se1 0.500 0.500 0.775 x1

Peak list (8 most intense, 2θ = 15–90°, in order of rising 2θ)
31.38 deg, rel. 7
39.16 deg, rel. 61
41.24 deg, rel. 100
56.59 deg, rel. 20
72.38 deg, rel. 36
76.55 deg, rel. 13
84.18 deg, rel. 6
89.55 deg, rel. 9

***

Entry 2:
MnMoSe4: theoretical powder X-ray diffraction pattern (Cu Kα (λ = 1.5418 Å)), based on a DFT-relaxed cell (GGA-PBE, Alexandria).
No peak broadening, texture or thermal motion is included.

Structural model:
a b c (Å): 14.595 3.282 5.860
angles (deg): 90.00 104.51 90.00
Space group Cm (No. 8)
One atom of each set of equivalent atoms:
Mn1 0.000 0.000 0.000 x2
Mo1 0.490 0.000 0.605 x2
Se1 0.092 0.000 0.421 x2
Se2 0.119 0.500 0.967 x2
Se3 0.367 0.500 0.657 x2
Se4 0.403 0.000 0.153 x2

Peak list (8 most intense, 2θ = 15–90°, in order of rising 2θ)
31.54 deg, rel. 14
32.93 deg, rel. 18
34.77 deg, rel. 100
36.99 deg, rel. 42
42.19 deg, rel. 37
48.18 deg, rel. 41
55.00 deg, rel. 18
56.05 deg, rel. 15

***

Entry 3:
Mn2SiMo: theoretical powder X-ray diffraction pattern (Cu Kα (λ = 1.5418 Å)), based on a DFT-relaxed cell (GGA-PBE, Alexandria).
No peak broadening, texture or thermal motion is included.

Structural model:
a b c (Å): 5.910 5.910 5.910
angles (deg): 90.00 90.00 90.00
Space group F-43m (No. 216)
One atom of each set of equivalent atoms:
Mn1 0.000 0.000 0.000 x4
Mn2 0.250 0.250 0.250 x4
Si1 0.250 0.250 0.750 x4
Mo1 0.000 0.000 0.500 x4

Peak list (8 most intense, 2θ = 15–90°, in order of rising 2θ)
26.12 deg, rel. 12
30.25 deg, rel. 12
43.30 deg, rel. 100
51.27 deg, rel. 5
53.73 deg, rel. 3
62.91 deg, rel. 15
71.38 deg, rel. 4
79.45 deg, rel. 31

***

Entry 4:
SrMnMo2: theoretical powder X-ray diffraction pattern (Cu Kα (λ = 1.5418 Å)), based on a DFT-relaxed cell (GGA-PBE, Alexandria).
No peak broadening, texture or thermal motion is included.

Structural model:
a b c (Å): 2.953 4.143 7.019
angles (deg): 90.00 101.51 90.00
Space group Pm (No. 6)
One atom of each set of equivalent atoms:
Sr1 0.000 0.000 0.000 x1
Mn1 0.743 0.500 0.333 x1
Mo1 0.232 0.500 0.669 x1
Mo2 0.435 0.000 0.502 x1

Peak list (8 most intense, 2θ = 15–90°, in order of rising 2θ)
25.91 deg, rel. 17
33.88 deg, rel. 99
36.00 deg, rel. 58
38.05 deg, rel. 100
43.70 deg, rel. 38
45.24 deg, rel. 27
57.86 deg, rel. 28
58.09 deg, rel. 23

***

Entry 5:
TaMn2Mo2: theoretical powder X-ray diffraction pattern (Cu Kα (λ = 1.5418 Å)), based on a DFT-relaxed cell (GGA-PBE, Alexandria).
No peak broadening, texture or thermal motion is included.

Structural model:
a b c (Å): 7.063 7.063 2.909
angles (deg): 90.00 90.00 90.00
Space group P4/mbm (No. 127)
One atom of each set of equivalent atoms:
Ta1 0.000 0.000 0.000 x2
Mn1 0.137 0.363 0.000 x4
Mo1 0.164 0.664 0.500 x4

Peak list (8 most intense, 2θ = 15–90°, in order of rising 2θ)
17.76 deg, rel. 19
35.72 deg, rel. 40
35.96 deg, rel. 30
40.16 deg, rel. 57
40.38 deg, rel. 100
42.23 deg, rel. 80
64.49 deg, rel. 19
78.47 deg, rel. 28